No. 1
Diffraction record for RePCl9. The powder XRD pattern is simulated, not measured: it uses a cell relaxed with PBE and Cu Kα (λ = 1.5418 Å).
Intensities are scaled so that the largest is 100.

Peak list (10 most intense, 5 to 70 degrees two-theta, in order of rising 2θ)
hkl 0 0 1, 9.561 Å, 9.25 deg, intensity 44; hkl 0 1 0, 9.089 Å, 9.73 deg, intensity 66; hkl 0 1 -1, 7.466 Å, 11.85 deg, intensity 65; hkl 1 0 -1, 6.128 Å, 14.45 deg, intensity 66; hkl 1 -1 0, 5.934 Å, 14.93 deg, intensity 100; hkl 1 1 -1, 5.194 Å, 17.07 deg, intensity 79; hkl 1 1 1, 4.249 Å, 20.90 deg, intensity 49; hkl 0 2 1, 3.787 Å, 23.49 deg, intensity 34; hkl 0 3 -2, 2.862 Å, 31.25 deg, intensity 81; hkl -1 1 3, 2.773 Å, 32.29 deg, intensity 49

Cell and atoms:
Cell lengths 7.2113, 9.3542, 9.8729 Å; angles 102.11, 96.70, 94.79 degrees
Space group P-1 (No. 2)
Inequivalent atoms, fractional coordinates:
Re: 0.1086 0.1303 0.1680 x2
P: 0.4490 0.3096 0.7204 x2
Cl: 0.0159 0.7397 0.6418 x2
Cl: 0.0789 0.3281 0.0575 x2
Cl: 0.1284 0.9292 0.2770 x2
Cl: 0.2058 0.9825 0.9541 x2
Cl: 0.2536 0.4446 0.7322 x2
Cl: 0.3389 0.1164 0.6111 x2
Cl: 0.3506 0.6130 0.3716 x2
Cl: 0.4204 0.2150 0.2543 x2
Cl: 0.4461 0.7031 0.0914 x2

---

No. 2
Diffraction record for Y6C2I7. The powder XRD pattern is simulated, not measured: it uses a cell relaxed with PBE and Cu Kα (λ = 1.5418 Å).
Intensities are scaled so that the largest is 100.

Peak list (10 most intense, 5 to 70 degrees two-theta, in order of rising 2θ)
hkl 1 1 -2, 3.323 Å, 26.83 deg, intensity 17; hkl 3 1 -2, 3.285 Å, 27.15 deg, intensity 17; hkl 2 0 -4, 3.108 Å, 28.72 deg, intensity 41; hkl 6 0 -4, 2.990 Å, 29.89 deg, intensity 21; hkl 5 1 -1, 2.891 Å, 30.93 deg, intensity 100; hkl 1 1 -3, 2.804 Å, 31.91 deg, intensity 14; hkl 3 1 3, 2.160 Å, 41.82 deg, intensity 26; hkl 10 0 -2, 2.132 Å, 42.39 deg, intensity 15; hkl 7 1 -5, 2.076 Å, 43.59 deg, intensity 23; hkl 0 2 0, 1.967 Å, 46.16 deg, intensity 18

Cell and atoms:
Cell lengths 21.8947, 3.9335, 12.9272 Å; angles 90.00, 122.39, 90.00 degrees
Space group C2/m (No. 12)
Inequivalent atoms, fractional coordinates:
Y: 0.1368 0.0000 0.0541 x4
Y: 0.1918 0.5000 0.8756 x4
Y: 0.2376 0.0000 0.6932 x4
C: 0.2191 0.5000 0.0949 x4
I: 0.0000 0.5000 0.0000 x2
I: 0.0588 0.0000 0.7797 x4
I: 0.1132 0.5000 0.5742 x4
I: 0.1593 0.0000 0.3209 x4

---

No. 3
Diffraction record for SrZnF4. The powder XRD pattern is simulated, not measured: it uses a cell relaxed with PBE and Cu Kα (λ = 1.5418 Å).
Intensities are scaled so that the largest is 100.

Peak list (10 most intense, 5 to 70 degrees two-theta, in order of rising 2θ)
hkl 1 1 2, 3.268 Å, 27.29 deg, intensity 100; hkl 0 0 4, 2.967 Å, 30.12 deg, intensity 11; hkl 2 0 0, 2.768 Å, 32.34 deg, intensity 13; hkl 2 1 1, 2.424 Å, 37.09 deg, intensity 5; hkl 1 1 4, 2.364 Å, 38.06 deg, intensity 5; hkl 2 0 4, 2.024 Å, 44.78 deg, intensity 35; hkl 2 2 0, 1.957 Å, 46.39 deg, intensity 17; hkl 1 1 6, 1.765 Å, 51.79 deg, intensity 17; hkl 1 3 2, 1.679 Å, 54.66 deg, intensity 29; hkl 2 2 4, 1.634 Å, 56.31 deg, intensity 11

Cell and atoms:
Cell lengths 5.5362, 5.5362, 11.8670 Å; angles 90.00, 90.00, 90.00 degrees
Space group I4_1/a (No. 88, origin choice 2)
Inequivalent atoms, fractional coordinates:
Sr: 0.0000 0.2500 0.1250 x4
Zn: 0.0000 0.2500 0.6250 x4
F: 0.1613 0.0077 0.2913 x16

---

No. 4
Diffraction record for LiSiBiO4. The powder XRD pattern is simulated, not measured: it uses a cell relaxed with PBE and Cu Kα (λ = 1.5418 Å).
Intensities are scaled so that the largest is 100.

Peak list (10 most intense, 5 to 70 degrees two-theta, in order of rising 2θ)
hkl 0 1 2, 4.346 Å, 20.43 deg, intensity 100; hkl 2 0 2, 4.310 Å, 20.61 deg, intensity 93; hkl 2 1 0, 3.763 Å, 23.65 deg, intensity 44; hkl 0 0 4, 3.719 Å, 23.93 deg, intensity 28; hkl 0 2 0, 2.678 Å, 33.47 deg, intensity 19; hkl 4 0 0, 2.645 Å, 33.89 deg, intensity 60; hkl 4 0 3, 2.333 Å, 38.58 deg, intensity 14; hkl 2 2 2, 2.274 Å, 39.63 deg, intensity 22; hkl 4 1 2, 2.259 Å, 39.91 deg, intensity 16; hkl 0 1 6, 2.248 Å, 40.12 deg, intensity 40

Cell and atoms:
Cell lengths 10.5751, 5.3554, 14.8774 Å; angles 90.00, 90.00, 90.00 degrees
Space group Pca2_1 (No. 29)
Inequivalent atoms, fractional coordinates:
Li: 0.0284 0.0520 0.0000 x4
Li: 0.2123 0.5487 0.2511 x4
Si: 0.0342 0.4438 0.6228 x4
Si: 0.2156 0.0690 0.3763 x4
Bi: 0.0321 0.9408 0.7494 x4
Bi: 0.2122 0.5565 0.9996 x4
O: 0.0096 0.8474 0.1119 x4
O: 0.0165 0.4089 0.0314 x4
O: 0.0337 0.4406 0.2154 x4
O: 0.0612 0.0330 0.3853 x4
O: 0.1869 0.4919 0.6352 x4
O: 0.2111 0.9719 0.9682 x4
O: 0.2389 0.9042 0.7873 x4
O: 0.2478 0.3659 0.8639 x4

---

No. 5
Diffraction record for Lu5Co4Si14. The powder XRD pattern is simulated, not measured: it uses a cell relaxed with PBE and Cu Kα (λ = 1.5418 Å).
Intensities are scaled so that the largest is 100.

Peak list (10 most intense, 5 to 70 degrees two-theta, in order of rising 2θ)
hkl 3 0 0, 4.033 Å, 22.04 deg, intensity 44; hkl 1 2 0, 3.694 Å, 24.09 deg, intensity 41; hkl 1 0 2, 3.468 Å, 25.69 deg, intensity 61; hkl 3 2 0, 2.796 Å, 32.01 deg, intensity 19; hkl 0 2 2, 2.712 Å, 33.03 deg, intensity 24; hkl 1 2 2, 2.585 Å, 34.70 deg, intensity 49; hkl 5 0 0, 2.420 Å, 37.16 deg, intensity 22; hkl 2 2 2, 2.382 Å, 37.76 deg, intensity 100; hkl 3 2 -2, 2.375 Å, 37.89 deg, intensity 55; hkl 1 4 -4, 1.365 Å, 68.80 deg, intensity 20

Cell and atoms:
Cell lengths 12.2438, 7.7577, 7.6816 Å; angles 90.00, 98.82, 90.00 degrees
Space group P2_1/c (No. 14)
Inequivalent atoms, fractional coordinates:
Lu: 0.0000 0.0000 0.0000 x2
Lu: 0.3651 0.2485 0.3424 x4
Lu: 0.3655 0.7491 0.3400 x4
Co: 0.9996 0.1270 0.6281 x4
Co: 0.2502 0.9998 0.0610 x4
Si: 0.0001 0.1663 0.3339 x4
Si: 0.1783 0.0053 0.7688 x4
Si: 0.1779 0.2264 0.5499 x4
Si: 0.1779 0.7264 0.0383 x4
Si: 0.1786 0.5057 0.8185 x4
Si: 0.4393 0.0003 0.6110 x4
Si: 0.4401 0.0004 0.1098 x4

---

No. 6
Diffraction record for Sm3Si2Ir2. The powder XRD pattern is simulated, not measured: it uses a cell relaxed with PBE and Cu Kα (λ = 1.5418 Å).
Intensities are scaled so that the largest is 100.

Peak list (10 most intense, 5 to 70 degrees two-theta, in order of rising 2θ)
hkl 1 1 3, 2.919 Å, 30.63 deg, intensity 100; hkl 0 2 4, 2.838 Å, 31.53 deg, intensity 43; hkl 1 3 0, 2.694 Å, 33.26 deg, intensity 76; hkl 0 4 0, 2.663 Å, 33.65 deg, intensity 32; hkl 1 1 4, 2.530 Å, 35.49 deg, intensity 38; hkl 1 3 3, 2.307 Å, 39.04 deg, intensity 27; hkl 0 4 3, 2.288 Å, 39.38 deg, intensity 27; hkl 1 3 4, 2.100 Å, 43.07 deg, intensity 35; hkl 2 0 0, 2.066 Å, 43.81 deg, intensity 38; hkl 1 3 8, 1.423 Å, 65.58 deg, intensity 19

Cell and atoms:
Cell lengths 4.1329, 10.6539, 13.4134 Å; angles 90.00, 90.00, 90.00 degrees
Space group Cmcm (No. 63)
Inequivalent atoms, fractional coordinates:
Sm: 0.0000 0.0173 0.2500 x4
Sm: 0.0000 0.2730 0.6039 x8
Si: 0.0000 0.4393 0.0886 x8
Ir: 0.0000 0.0000 0.0000 x4
Ir: 0.0000 0.3148 0.2500 x4

---

No. 7
Diffraction record for UInCu5. The powder XRD pattern is simulated, not measured: it uses a cell relaxed with PBE and Cu Kα (λ = 1.5418 Å).
Intensities are scaled so that the largest is 100.

Peak list (10 most intense, 5 to 70 degrees two-theta, in order of rising 2θ)
hkl 0 1 3, 2.899 Å, 30.84 deg, intensity 40; hkl 1 1 3, 2.738 Å, 32.70 deg, intensity 26; hkl 1 0 4, 2.532 Å, 35.45 deg, intensity 47; hkl 0 2 0, 2.520 Å, 35.63 deg, intensity 37; hkl 2 1 3, 2.380 Å, 37.79 deg, intensity 75; hkl 3 1 1, 2.373 Å, 37.91 deg, intensity 100; hkl 2 1 4, 2.047 Å, 44.24 deg, intensity 45; hkl 1 2 3, 1.994 Å, 45.48 deg, intensity 28; hkl 4 1 5, 1.427 Å, 65.37 deg, intensity 47; hkl 5 2 2, 1.345 Å, 69.92 deg, intensity 30

Cell and atoms:
Cell lengths 8.3410, 5.0403, 10.6317 Å; angles 90.00, 90.00, 90.00 degrees
Space group Pnma (No. 62)
Inequivalent atoms, fractional coordinates:
U: 0.2488 0.2500 0.0609 x4
In: 0.1356 0.7500 0.8626 x4
Cu: 0.0592 0.7500 0.1041 x4
Cu: 0.0688 0.0010 0.3129 x8
Cu: 0.0844 0.2500 0.5168 x4
Cu: 0.1833 0.2500 0.7423 x4